# 1
Diffraction record for Sm2ZrSe5. The powder X-ray diffraction pattern is calculated, not measured: it uses DFT lattice parameters and positions (GGA-PBE) and Cu Kα (λ = 1.5418 Å).

Atomic structure:
```
Sm2ZrSe5
1.0
12.265 0.000 0.000
0.000 8.243 0.000
0.000 0.000 7.714
Sm Zr Se
8 4 20
direct
0.179 0.004 0.026
0.179 0.496 0.026
0.321 0.504 0.526
0.321 0.996 0.526
0.679 0.004 0.474
0.679 0.496 0.474
0.821 0.504 0.974
0.821 0.996 0.974
0.007 0.750 0.580
0.493 0.250 0.080
0.507 0.750 0.920
0.993 0.250 0.420
0.004 0.750 0.948
0.092 0.038 0.662
0.092 0.462 0.662
0.181 0.750 0.333
0.208 0.250 0.313
0.292 0.750 0.813
0.319 0.250 0.833
0.408 0.538 0.162
0.408 0.962 0.162
0.496 0.250 0.448
0.504 0.750 0.552
0.592 0.038 0.838
0.592 0.462 0.838
0.681 0.750 0.167
0.708 0.250 0.187
0.792 0.750 0.687
0.819 0.250 0.667
0.908 0.538 0.338
0.908 0.962 0.338
0.996 0.250 0.052
```

Most intense lines, 2θ from 15° to 90°, low angle first:
2θ/deg  Rel. int.
32.63  58.1
32.97  84.4
35.06  100.0
36.53  41.9
43.94  45.2
44.56  46.0



# 2
Diffraction record for CaThSe3. The powder X-ray diffraction pattern is calculated, not measured: it uses DFT lattice parameters and positions (GGA-PBE) and Cu Kα (λ = 1.5418 Å).

Atomic structure:
```
CaThSe3
1.0
2.172 -10.401 0.000
2.172 10.401 0.000
0.000 0.000 7.425
Ca Th Se
2 2 6
direct
0.152 0.848 0.500
0.848 0.152 0.000
0.343 0.657 0.486
0.657 0.343 0.986
0.092 0.908 0.149
0.249 0.751 0.829
0.411 0.589 0.171
0.589 0.411 0.671
0.751 0.249 0.329
0.908 0.092 0.649
```

Most intense lines, 2θ from 15° to 90°, low angle first:
2θ/deg  Rel. int.
17.05  49.7
24.15  64.7
27.04  64.5
32.14  100.0
35.42  49.4
42.25  65.9